1.
This entry pairs a crystal structure of Mg14MnCo with its calculated powder X-ray diffraction pattern. Radiation: Cu Kα, 1.54184 Å. Structure: a structure optimized by DFT (GGA-PBE).

Main lines, sorted by position (10° ≤ 2θ ≤ 90°):
- 2θ 16.43, I = 14.2
- 2θ 33.21, I = 25.9
- 2θ 36.49, I = 24.8
- 2θ 38.03, I = 100.0
- 2θ 50.16, I = 15.2
- 2θ 59.33, I = 16.6
- 2θ 66.70, I = 17.0
- 2θ 71.70, I = 17.9

Structure:
Lattice parameters (Å, degrees): 6.230 6.230 9.850 90.00 90.00 120.00
Fractional positions:
Mg 0.000 0.000 0.248
Mg 0.000 0.000 0.752
Mg 0.016 0.508 0.257
Mg 0.016 0.508 0.743
Mg 0.331 0.166 0.500
Mg 0.337 0.169 0.000
Mg 0.492 0.508 0.257
Mg 0.492 0.508 0.743
Mg 0.492 0.984 0.257
Mg 0.492 0.984 0.743
Mg 0.831 0.169 0.000
Mg 0.831 0.663 0.000
Mg 0.834 0.166 0.500
Mg 0.834 0.669 0.500
Mn 0.333 0.667 0.000
Co 0.333 0.667 0.500

=====

2.
This entry pairs a crystal structure of Mg14CoMo with its calculated powder X-ray diffraction pattern. Radiation: Cu Kα, 1.54184 Å. Structure: a structure optimized by DFT (GGA-PBE).

Main lines, sorted by position (10° ≤ 2θ ≤ 90°):
- 2θ 16.49, I = 29.7
- 2θ 33.33, I = 27.6
- 2θ 36.94, I = 24.4
- 2θ 38.25, I = 100.0
- 2θ 50.60, I = 16.1
- 2θ 59.56, I = 17.8
- 2θ 67.43, I = 17.3
- 2θ 72.20, I = 18.0

Structure:
Lattice parameters (Å, degrees): 6.208 6.208 9.732 90.00 90.00 120.00
Fractional positions:
Mg 0.000 0.000 0.247
Mg 0.000 0.000 0.753
Mg 0.021 0.510 0.253
Mg 0.021 0.510 0.747
Mg 0.333 0.166 0.500
Mg 0.337 0.169 0.000
Mg 0.490 0.510 0.253
Mg 0.490 0.510 0.747
Mg 0.490 0.979 0.253
Mg 0.490 0.979 0.747
Mg 0.831 0.169 0.000
Mg 0.831 0.663 0.000
Mg 0.834 0.166 0.500
Mg 0.834 0.667 0.500
Co 0.333 0.667 0.500
Mo 0.333 0.667 0.000